ZnW2O7: theoretical PXRD pattern (Cu Kα), based on a structure optimized by DFT (PBE+U).
Peak positions follow from Bragg's law for the DFT cell and can differ from measured ones.

Cell and atoms:
a = 6.154 Å, b = 7.838 Å, c = 8.822 Å
α = 90.00°, β = 110.25°, γ = 90.00°
Space group P2_1 (No. 4)
Symmetry-distinct sites (fractional):
1 Zn 0.119 0.000 0.375
2 W 0.101 0.085 0.777
3 W 0.460 0.504 0.800
4 O 0.073 0.778 0.265
5 O 0.090 0.440 0.184
6 O 0.139 0.002 0.597
7 O 0.184 0.611 0.746
8 O 0.356 0.053 0.987
9 O 0.394 0.281 0.779
10 O 0.400 0.071 0.339

Principal peaks in the range 2θ from 5° to 70°, in order of falling intensity:
19.11°, I 100, (1 1 -1); 24.45°, I 93, (1 1 1); 22.69°, I 70, (0 2 0); 21.47°, I 64, (0 0 2); 33.09°, I 48, (2 1 0); 15.37°, I 43, (1 0 -1); 15.57°, I 31, (0 1 1); 32.77°, I 28, (1 1 2); 31.46°, I 28, (0 2 2); 42.54°, I 26, (1 1 3)